Diffraction record for Cd3Bi3Pb5. The powder diffractogram is computed, not measured: it uses a PBE-relaxed structure and Cu Kα (λ = 1.5418 Å).

Structural model:
a b c (Å): 10.7475 10.7475 3.4444
angles (deg): 90.00 90.00 120.00
Fractional coordinates of all 11 atoms:
1 Cd 0.0000 0.8435 0.0000
2 Cd 0.1565 0.1565 0.0000
3 Cd 0.8435 0.0000 0.0000
4 Bi 0.0000 0.6017 0.5000
5 Bi 0.3983 0.3983 0.5000
6 Bi 0.6017 0.0000 0.5000
7 Pb 0.0000 0.3361 0.0000
8 Pb 0.3333 0.6667 0.0000
9 Pb 0.3361 0.0000 0.0000
10 Pb 0.6639 0.6639 0.0000
11 Pb 0.6667 0.3333 0.0000

Most intense lines, 2θ from 10° to 90°, in order of falling intensity:
30.8°, d = 2.900 Å, I = 100, (1 1 1); 28.8°, d = 3.103 Å, I = 94, (3 0 0); 34.8°, d = 2.581 Å, I = 56, (3 1 0); 42.7°, d = 2.119 Å, I = 51, (2 2 1); 36.5°, d = 2.461 Å, I = 36, (2 1 1); 66.1°, d = 1.414 Å, I = 25, (6 0 1); 50.3°, d = 1.815 Å, I = 25, (3 2 1); 61.6°, d = 1.506 Å, I = 24, (3 0 2); 32.3°, d = 2.769 Å, I = 21, (2 0 1); 88.0°, d = 1.110 Å, I = 20, (6 3 1)